Structure and theoretical XRD peak list of ScSiRu (a cell relaxed with PBE; Cu Kα X-rays).

Most intense lines, 2θ = 5–70°, sorted by position:
hkl 1 0 0, 14.8 deg, 5.993 Å, I 272
hkl 1 1 0, 25.7 deg, 3.460 Å, I 275
hkl 1 1 1, 37.1 deg, 2.421 Å, I 1000
hkl 2 1 0, 39.8 deg, 2.265 Å, I 730
hkl 2 0 1, 40.2 deg, 2.245 Å, I 481
hkl 2 1 1, 48.3 deg, 1.883 Å, I 438

Atomic structure:
Unit cell a=6.920 b=6.920 c=3.389 alpha=90.00 beta=90.00 gamma=120.00
Fractional coordinates of all 9 atoms:
1 Sc 0.000 0.597 0.000
2 Sc 0.403 0.403 0.000
3 Sc 0.597 0.000 0.000
4 Si 0.000 0.000 0.000
5 Si 0.333 0.667 0.500
6 Si 0.667 0.333 0.500
7 Ru 0.000 0.252 0.500
8 Ru 0.252 0.000 0.500
9 Ru 0.748 0.748 0.500

***

Structure and theoretical XRD peak list of Sc3Si3Ru (a cell relaxed with PBE; Cu Kα X-rays).

Most intense lines, 2θ = 5–70°, sorted by position:
hkl 1 0 2, 18.8 deg, 4.719 Å, I 233
hkl 1 1 3, 35.3 deg, 2.544 Å, I 341
hkl 3 1 2, 36.6 deg, 2.457 Å, I 1000
hkl 2 1 3, 37.8 deg, 2.382 Å, I 222
hkl 2 1 4, 44.6 deg, 2.032 Å, I 265
hkl 0 2 0, 45.4 deg, 1.999 Å, I 329

Atomic structure:
Unit cell a=11.728 b=3.998 c=10.309 alpha=90.00 beta=90.00 gamma=90.00
Fractional coordinates of all 28 atoms:
1 Sc 0.019 0.250 0.123
2 Sc 0.104 0.250 0.422
3 Sc 0.202 0.750 0.661
4 Sc 0.298 0.250 0.161
5 Sc 0.396 0.750 0.922
6 Sc 0.481 0.750 0.623
7 Sc 0.519 0.250 0.377
8 Sc 0.604 0.250 0.078
9 Sc 0.702 0.750 0.839
10 Sc 0.798 0.250 0.339
11 Sc 0.896 0.750 0.578
12 Sc 0.981 0.750 0.877
13 Si 0.045 0.250 0.694
14 Si 0.157 0.750 0.252
15 Si 0.178 0.750 0.015
16 Si 0.322 0.250 0.515
17 Si 0.343 0.250 0.752
18 Si 0.455 0.750 0.194
19 Si 0.545 0.250 0.806
20 Si 0.657 0.750 0.248
21 Si 0.678 0.750 0.485
22 Si 0.822 0.250 0.985
23 Si 0.843 0.250 0.748
24 Si 0.955 0.750 0.306
25 Ru 0.177 0.250 0.891
26 Ru 0.323 0.750 0.391
27 Ru 0.677 0.250 0.609
28 Ru 0.823 0.750 0.109